[1]
Structure and theoretical PXRD pattern of LiBeB (DFT lattice parameters and positions (PBE); Cu Kα (λ = 1.5418 Å)).
No peak broadening, texture or thermal motion is included.

Principal peaks in the range 10 to 90 degrees two-theta, low angle first:
two_theta, d/Å, I_rel
14.3, 6.204, 7
21.5, 4.136, 100
43.2, 2.095, 34
43.8, 2.068, 11
48.7, 1.869, 18
56.1, 1.641, 44
60.7, 1.525, 15
61.7, 1.504, 4
73.3, 1.292, 6
73.7, 1.285, 13
77.4, 1.233, 5
85.4, 1.137, 6

Structure:
```
12
Lattice="3.281 0.000 0.000 -1.641 2.842 0.000 0.000 0.000 12.409" Properties=species:S:1:pos:R:3 pbc="T T T"
Li 0.000 0.000 0.000
Li 0.000 0.000 2.467
Li 0.000 1.895 8.211
Li 1.641 0.947 4.186
Be 0.000 0.000 9.928
Be 0.000 1.895 5.824
Be 0.000 1.895 10.504
Be 1.641 0.947 6.438
B 0.000 0.000 6.028
B 0.000 1.895 1.421
B 1.641 0.947 1.430
B 1.641 0.947 10.100
```

***

[2]
Structure and theoretical PXRD pattern of Te6Mo3WS2 (DFT lattice parameters and positions (PBE); Cu Kα (λ = 1.5418 Å)).
No peak broadening, texture or thermal motion is included.

Principal peaks in the range 10 to 90 degrees two-theta, low angle first:
two_theta, d/Å, I_rel
11.3, 7.848, 87
13.5, 6.540, 13
29.9, 2.993, 58
35.1, 2.557, 100
37.8, 2.381, 18
42.5, 2.126, 56
44.3, 2.047, 17
52.9, 1.729, 37
65.1, 1.433, 16
70.1, 1.342, 12
74.8, 1.269, 18
88.7, 1.103, 14

Structure:
```
12
Lattice="3.459 0.000 0.000 -1.730 2.996 0.000 0.000 0.000 39.242" Properties=species:S:1:pos:R:3 pbc="T T T"
Te 0.000 0.000 0.000
Te 0.000 0.000 3.699
Te 0.000 0.000 14.731
Te 0.000 0.000 18.447
Te 1.730 0.999 22.120
Te 1.730 0.999 25.816
Mo 0.000 0.000 9.221
Mo 0.000 0.000 23.969
Mo 1.730 0.999 1.848
W 1.730 0.999 16.589
S 1.730 0.999 7.732
S 1.730 0.999 10.710
```

***

[3]
Structure and theoretical PXRD pattern of Li2Mg (DFT lattice parameters and positions (PBE); Cu Kα (λ = 1.5418 Å)).
No peak broadening, texture or thermal motion is included.

Principal peaks in the range 10 to 90 degrees two-theta, low angle first:
two_theta, d/Å, I_rel
11.8, 7.518, 100
23.7, 3.759, 21
33.4, 2.679, 18
34.0, 2.637, 35
35.8, 2.506, 20
38.1, 2.363, 76
45.3, 2.000, 14
49.8, 1.830, 11
59.8, 1.547, 13
65.9, 1.418, 14
71.7, 1.316, 14
73.1, 1.294, 10

Structure:
```
6
Lattice="3.093 0.000 0.000 -1.547 2.679 0.000 0.000 0.000 15.035" Properties=species:S:1:pos:R:3 pbc="T T T"
Li 0.000 1.786 1.231
Li 0.000 1.786 6.287
Li 1.547 0.893 8.749
Li 1.547 0.893 13.804
Mg 0.000 1.786 11.276
Mg 1.547 0.893 3.759
```

***

[4]
Structure and theoretical PXRD pattern of Nd3NbSb5 (DFT lattice parameters and positions (PBE); Cu Kα (λ = 1.5418 Å)).
No peak broadening, texture or thermal motion is included.

Principal peaks in the range 10 to 90 degrees two-theta, low angle first:
two_theta, d/Å, I_rel
28.5, 3.131, 12
32.2, 2.778, 74
32.8, 2.734, 87
34.3, 2.611, 100
42.3, 2.138, 16
48.2, 1.888, 29
50.7, 1.802, 13
52.9, 1.731, 18
59.0, 1.565, 12
59.5, 1.554, 14
65.0, 1.434, 11
69.2, 1.358, 21

Structure:
```
18
Lattice="9.470 0.000 0.000 -4.735 8.202 0.000 0.000 0.000 6.261" Properties=species:S:1:pos:R:3 pbc="T T T"
Nd -1.798 3.115 1.565
Nd -2.937 5.087 4.696
Nd 3.597 0.000 1.565
Nd 1.798 3.115 4.696
Nd 5.874 0.000 4.696
Nd 2.937 5.087 1.565
Nb 0.000 0.000 0.000
Nb 0.000 0.000 3.131
Sb -1.237 2.142 4.696
Sb -3.499 6.060 1.565
Sb 2.473 0.000 4.696
Sb 1.237 2.142 1.565
Sb 0.000 5.468 0.000
Sb 0.000 5.468 3.131
Sb 4.735 2.734 0.000
Sb 4.735 2.734 3.131
Sb 6.997 0.000 1.565
Sb 3.499 6.060 4.696
```